Rb2Li2PuBr6: computed powder diffraction line list (CuKα), based on a GGA-PBE-relaxed structure.
Neutral-atom scattering factors, no anomalous dispersion.

Top 6 peaks for 2θ = 10–90°, sorted by position:
2θ = 13.21°, d 6.704, rel. 84
2θ = 14.84°, d 5.970, rel. 51
2θ = 23.32°, d 3.814, rel. 39
2θ = 29.94°, d 2.985, rel. 100
2θ = 32.36°, d 2.766, rel. 36
2θ = 44.74°, d 2.025, rel. 41

Atomic structure:
```
Rb2Li2PuBr6
1.0
4.0509 2.3388 7.5737
-4.0509 2.3388 7.5737
0.0000 -4.6776 7.5737
Rb Li Pu Br
2 2 1 6
direct
0.2089 0.2089 0.2089 Rb
0.7911 0.7911 0.7911 Rb
0.4169 0.4169 0.4169 Li
0.5831 0.5831 0.5831 Li
0.0000 0.0000 0.0000 Pu
0.2357 0.7517 0.7517 Br
0.2483 0.2483 0.7643 Br
0.2483 0.7643 0.2483 Br
0.7517 0.2357 0.7517 Br
0.7517 0.7517 0.2357 Br
0.7643 0.2483 0.2483 Br
```



LiPu2TlBr8: computed powder diffraction line list (CuKα), based on a GGA-PBE-relaxed structure.
Neutral-atom scattering factors, no anomalous dispersion.

Top 6 peaks for 2θ = 10–90°, sorted by position:
2θ = 16.93°, d 5.237, rel. 100
2θ = 18.83°, d 4.714, rel. 64
2θ = 23.85°, d 3.731, rel. 54
2θ = 26.33°, d 3.385, rel. 67
2θ = 34.27°, d 2.617, rel. 93
2θ = 43.22°, d 2.093, rel. 51

Atomic structure:
```
LiPu2TlBr8
1.0
6.9356 0.0000 0.0000
0.0000 8.8713 0.0000
-0.7514 0.0000 7.1221
Li Pu Tl Br
1 2 1 8
direct
0.0000 0.0000 0.0000 Li
0.5000 0.2424 0.5000 Pu
0.5000 0.7576 0.5000 Pu
0.0000 0.5000 0.0000 Tl
0.2419 0.2149 0.1665 Br
0.2419 0.7851 0.1665 Br
0.2781 0.0000 0.6461 Br
0.2848 0.5000 0.6322 Br
0.7152 0.5000 0.3678 Br
0.7219 0.0000 0.3539 Br
0.7581 0.2149 0.8335 Br
0.7581 0.7851 0.8335 Br
```



Rb3LiBr4: computed powder diffraction line list (CuKα), based on a GGA-PBE-relaxed structure.
Neutral-atom scattering factors, no anomalous dispersion.

Top 6 peaks for 2θ = 10–90°, sorted by position:
2θ = 25.78°, d 3.456, rel. 72
2θ = 27.12°, d 3.288, rel. 98
2θ = 28.88°, d 3.092, rel. 66
2θ = 29.07°, d 3.072, rel. 74
2θ = 29.43°, d 3.035, rel. 100
2θ = 30.37°, d 2.943, rel. 86

Atomic structure:
```
Rb3LiBr4
1.0
9.7271 0.0000 0.0000
0.0000 11.8893 0.0000
0.0000 0.0000 10.2639
Rb Li Br
12 4 16
direct
0.0446 0.0477 0.2083 Rb
0.0446 0.4523 0.2083 Rb
0.1145 0.7500 0.4231 Rb
0.3855 0.2500 0.9231 Rb
0.4554 0.5477 0.7083 Rb
0.4554 0.9523 0.7083 Rb
0.5446 0.0477 0.2917 Rb
0.5446 0.4523 0.2917 Rb
0.6145 0.7500 0.0769 Rb
0.8855 0.2500 0.5769 Rb
0.9554 0.5477 0.7917 Rb
0.9554 0.9523 0.7917 Rb
0.2099 0.7500 0.9886 Li
0.2901 0.2500 0.4886 Li
0.7099 0.7500 0.5114 Li
0.7901 0.2500 0.0114 Li
0.0238 0.2500 0.9017 Br
0.1774 0.0639 0.5396 Br
0.1774 0.4361 0.5396 Br
0.1958 0.7500 0.7410 Br
0.3042 0.2500 0.2410 Br
0.3226 0.5639 0.0396 Br
0.3226 0.9361 0.0396 Br
0.4762 0.7500 0.4017 Br
0.5238 0.2500 0.5983 Br
0.6774 0.0639 0.9604 Br
0.6774 0.4361 0.9604 Br
0.6958 0.7500 0.7590 Br
0.8042 0.2500 0.2590 Br
0.8226 0.5639 0.4604 Br
0.8226 0.9361 0.4604 Br
0.9762 0.7500 0.0983 Br
```



RbLi2Br: computed powder diffraction line list (CuKα), based on a GGA-PBE-relaxed structure.
Neutral-atom scattering factors, no anomalous dispersion.

Top 6 peaks for 2θ = 10–90°, sorted by position:
2θ = 21.70°, d 4.095, rel. 52
2θ = 22.20°, d 4.004, rel. 100
2θ = 30.88°, d 2.896, rel. 20
2θ = 38.36°, d 2.346, rel. 47
2θ = 39.26°, d 2.295, rel. 23
2θ = 45.30°, d 2.002, rel. 16

Atomic structure:
```
RbLi2Br
1.0
-4.0952 4.0952 5.5413
4.0952 -4.0952 5.5413
4.0952 4.0952 -5.5413
Rb Li Br
2 4 2
direct
0.0000 0.0000 0.0000 Rb
0.7500 0.2500 0.5000 Rb
0.3029 0.6250 0.1779 Li
0.3750 0.5529 0.6779 Li
0.4471 0.1250 0.8221 Li
0.8750 0.6971 0.3221 Li
0.2500 0.7500 0.5000 Br
0.5000 0.5000 0.0000 Br
```